Simulated X-ray diffraction stick pattern
Compound: Nd3Sm3NiTe2
Radiation: a wavelength of 1.5418 Å
Structure: a crystal structure in OQMD, relaxed with GGA-PBE
Peak positions follow from Bragg's law for the DFT cell and can differ from measured ones.

The 12 most intense peaks (15° ≤ 2θ ≤ 90°), sorted by position:
| hkl | 2theta | Rel. int. |
| --- | --- | --- |
| 1 1 1 | 30.5 | 100.0 |
| 2 1 0 | 31.7 | 84.3 |
| 2 0 1 | 32.8 | 84.3 |
| 3 0 0 | 36.1 | 27.7 |
| 2 1 1 | 39.1 | 31.6 |
| 0 0 2 | 45.4 | 21.8 |
| 3 1 1 | 49.6 | 23.4 |
| 2 1 2 | 56.4 | 42.6 |
| 3 2 1 | 58.6 | 31.3 |
| 3 0 2 | 59.3 | 12.9 |
| 4 1 1 | 61.4 | 17.6 |
| 1 1 3 | 74.6 | 12.9 |

Crystal structure
abc: 8.6268 8.6268 3.9951
angles: 90.00 90.00 120.00
Space group P-62m (No. 189)
Inequivalent atoms, fractional coordinates:
1 Nd 0.0000 0.4125 0.0000 x3
2 Sm 0.0000 0.7621 0.5000 x3
3 Ni 0.0000 0.0000 0.0000 x1
4 Te 0.3333 0.6667 0.5000 x2